Simulated powder diffraction line list of CoCuNiO4 for Cu Kα, from a structure optimized by DFT (PBE+U).

Cell and atoms:
```
14
Lattice="-2.8657 2.9259 4.0978 2.8657 -2.9259 4.0978 2.8657 2.9259 -4.0978" Properties=species:S:1:pos:R:3 pbc="T T T"
Co -1.4329 1.4629 2.0489
Co 1.4329 1.4629 2.0489
Cu 2.8657 1.4629 -1.0192
Cu 0.0000 1.4629 5.1170
Ni 0.0000 0.0000 0.0000
Ni 0.0000 2.9259 0.0000
O 1.3212 1.4629 0.1455
O 1.5446 -1.4629 4.2433
O 0.0000 0.1839 2.0259
O 2.8657 0.1839 2.0720
O 0.0000 2.7420 2.0259
O 2.8657 2.7420 2.0720
O 1.3212 4.3888 -0.1455
O 1.5446 1.4629 3.9523
```

Top 6 peaks for 2θ from 10° to 80°, sorted by position:
- 2θ 30.87, I 62.1
- 2θ 36.17, I 100.0
- 2θ 36.29, I 46.3
- 2θ 36.43, I 53.3
- 2θ 36.60, I 91.7
- 2θ 64.32, I 80.6